[1]
Structure and simulated powder X-ray diffraction pattern of LiFeO2 (a structure optimized by DFT (PBE+U); Cu Kα).

Principal peaks in the range 10° ≤ 2θ ≤ 90°, low angle first:
2θ (°), intensity
17.6, 100
34.8, 8
36.0, 44
39.3, 26
44.3, 55
50.7, 15
58.1, 23
62.4, 20
65.4, 14
79.7, 8

abc: 2.976 2.976 10.080
angles: 90.00 90.00 120.00
Atoms (fractional coordinates):
Li1 0.333 0.667 0.000
Li2 0.667 0.333 0.500
Fe1 0.333 0.667 0.260
Fe2 0.667 0.333 0.760
O1 0.000 0.000 0.374
O2 0.000 0.000 0.874
O3 0.333 0.667 0.648
O4 0.667 0.333 0.148

[2]
Structure and simulated powder X-ray diffraction pattern of Li5Fe3O8 (a structure optimized by DFT (PBE+U); Cu Kα).

Principal peaks in the range 10° ≤ 2θ ≤ 90°, low angle first:
2θ (°), intensity
17.9, 100
19.6, 12
19.7, 12
19.9, 11
36.5, 12
36.7, 13
36.9, 12
39.8, 11
44.8, 20
45.0, 11

abc: 5.810 5.839 9.904
angles: 89.92 89.00 60.33
Atoms (fractional coordinates):
Li1 0.000 0.000 0.000
Li2 0.001 0.014 0.748
Li3 0.321 0.841 0.232
Li4 0.326 0.329 0.248
Li5 0.341 0.339 0.500
Li6 0.502 0.018 0.731
Li7 0.503 0.510 0.731
Li8 0.824 0.836 0.232
Li9 0.827 0.337 0.235
Li10 0.999 0.514 0.732
Fe1 0.002 0.500 0.994
Fe2 0.340 0.839 0.495
Fe3 0.500 0.001 0.994
Fe4 0.500 0.500 0.995
Fe5 0.841 0.338 0.495
Fe6 0.841 0.839 0.494
O1 0.006 0.001 0.372
O2 0.161 0.166 0.604
O3 0.173 0.693 0.607
O4 0.177 0.649 0.108
O5 0.182 0.166 0.106
O6 0.331 0.340 0.872
O7 0.352 0.831 0.888
O8 0.505 0.988 0.385
O9 0.517 0.510 0.389
O10 0.645 0.172 0.105
O11 0.667 0.663 0.114
O12 0.673 0.679 0.614
O13 0.688 0.178 0.607
O14 0.820 0.837 0.885
O15 0.824 0.349 0.885
O16 0.993 0.498 0.384

[3]
Structure and simulated powder X-ray diffraction pattern of LiFeO2 (a structure optimized by DFT (PBE+U); Cu Kα).

Principal peaks in the range 10° ≤ 2θ ≤ 90°, low angle first:
2θ (°), intensity
12.2, 55
18.2, 100
22.5, 20
26.3, 21
36.7, 18
36.8, 19
42.2, 55
42.7, 57
43.2, 53
62.4, 29

abc: 5.150 5.179 7.961
angles: 71.13 71.54 79.84
Atoms (fractional coordinates):
Li1 0.000 0.000 0.000
Li2 0.111 0.513 0.277
Li3 0.283 0.501 0.914
Li4 0.717 0.499 0.086
Li5 0.889 0.487 0.723
Fe1 0.189 0.998 0.611
Fe2 0.401 0.009 0.185
Fe3 0.500 0.500 0.500
Fe4 0.599 0.991 0.815
Fe5 0.811 0.002 0.389
O1 0.048 0.233 0.165
O2 0.163 0.767 0.444
O3 0.271 0.249 0.731
O4 0.364 0.767 0.044
O5 0.453 0.240 0.362
O6 0.547 0.760 0.638
O7 0.636 0.233 0.956
O8 0.729 0.751 0.269
O9 0.837 0.233 0.556
O10 0.952 0.767 0.835

[4]
Structure and simulated powder X-ray diffraction pattern of Li6Fe7O15 (a structure optimized by DFT (PBE+U); Cu Kα).

Principal peaks in the range 10° ≤ 2θ ≤ 90°, low angle first:
2θ (°), intensity
23.3, 100
23.6, 41
24.9, 23
30.3, 22
30.4, 22
42.3, 65
42.7, 63
46.0, 54
64.3, 30
64.6, 30

abc: 7.949 7.949 9.006
angles: 101.37 101.37 28.74
Atoms (fractional coordinates):
Li1 0.097 0.097 0.025
Li2 0.097 0.097 0.366
Li3 0.298 0.298 0.767
Li4 0.702 0.702 0.233
Li5 0.903 0.903 0.634
Li6 0.903 0.903 0.975
Fe1 0.306 0.306 0.431
Fe2 0.307 0.307 0.107
Fe3 0.497 0.497 0.830
Fe4 0.500 0.500 0.500
Fe5 0.503 0.503 0.170
Fe6 0.693 0.693 0.893
Fe7 0.694 0.694 0.569
O1 0.000 0.000 0.500
O2 0.012 0.012 0.165
O3 0.207 0.207 0.550
O4 0.208 0.208 0.921
O5 0.220 0.220 0.238
O6 0.404 0.404 0.300
O7 0.405 0.405 0.984
O8 0.406 0.406 0.624
O9 0.594 0.594 0.376
O10 0.595 0.595 0.016
O11 0.596 0.596 0.700
O12 0.780 0.780 0.762
O13 0.792 0.792 0.079
O14 0.793 0.793 0.450
O15 0.988 0.988 0.835

[5]
Structure and simulated powder X-ray diffraction pattern of Li8FeO6 (a structure optimized by DFT (PBE+U); Cu Kα).

Principal peaks in the range 10° ≤ 2θ ≤ 90°, low angle first:
2θ (°), intensity
17.7, 84
19.3, 64
19.6, 68
20.4, 69
21.6, 56
22.6, 100
35.9, 84
38.2, 53
38.8, 49
50.8, 35

abc: 5.340 5.390 5.843
angles: 62.60 89.83 63.07
Atoms (fractional coordinates):
Li1 0.014 0.256 0.143
Li2 0.131 0.689 0.476
Li3 0.268 0.134 0.856
Li4 0.400 0.582 0.158
Li5 0.600 0.418 0.842
Li6 0.732 0.866 0.144
Li7 0.869 0.311 0.524
Li8 0.986 0.744 0.857
Fe1 0.500 0.000 0.500
O1 0.103 0.485 0.262
O2 0.281 0.847 0.737
O3 0.398 0.871 0.269
O4 0.602 0.129 0.731
O5 0.719 0.153 0.263
O6 0.897 0.515 0.738

[6]
Structure and simulated powder X-ray diffraction pattern of Li8FeO6 (a structure optimized by DFT (PBE+U); Cu Kα).

Principal peaks in the range 10° ≤ 2θ ≤ 90°, low angle first:
2θ (°), intensity
16.2, 36
18.2, 36
18.4, 75
24.5, 48
24.6, 100
31.9, 37
32.8, 44
33.0, 29
53.8, 25
57.4, 31

abc: 5.607 5.607 10.917
angles: 90.00 90.00 59.26
Atoms (fractional coordinates):
Li1 0.110 0.500 0.000
Li2 0.113 0.887 0.500
Li3 0.164 0.170 0.219
Li4 0.170 0.164 0.719
Li5 0.189 0.811 0.860
Li6 0.196 0.494 0.358
Li7 0.494 0.196 0.858
Li8 0.500 0.110 0.500
Li9 0.500 0.890 0.000
Li10 0.506 0.804 0.358
Li11 0.804 0.506 0.858
Li12 0.811 0.189 0.360
Li13 0.830 0.836 0.219
Li14 0.836 0.830 0.719
Li15 0.887 0.113 0.000
Li16 0.890 0.500 0.500
Fe1 0.497 0.503 0.133
Fe2 0.503 0.497 0.633
O1 0.165 0.167 0.911
O2 0.167 0.165 0.411
O3 0.186 0.814 0.680
O4 0.188 0.490 0.177
O5 0.490 0.188 0.677
O6 0.496 0.504 0.958
O7 0.504 0.496 0.458
O8 0.510 0.812 0.177
O9 0.812 0.510 0.677
O10 0.814 0.186 0.180
O11 0.833 0.835 0.911
O12 0.835 0.833 0.411

[7]
Structure and simulated powder X-ray diffraction pattern of Li5Fe5O12 (a structure optimized by DFT (PBE+U); Cu Kα).

Principal peaks in the range 10° ≤ 2θ ≤ 90°, low angle first:
2θ (°), intensity
18.1, 100
35.4, 12
35.7, 12
35.8, 11
42.7, 24
43.1, 23
43.5, 23
47.2, 7
62.4, 12
62.8, 12

abc: 5.096 5.100 19.711
angles: 92.35 93.27 119.52
Atoms (fractional coordinates):
Li1 0.000 0.000 0.000
Li2 0.027 0.710 0.123
Li3 0.153 0.853 0.500
Li4 0.237 0.238 0.745
Li5 0.395 0.081 0.246
Li6 0.522 0.212 0.623
Li7 0.658 0.348 0.000
Li8 0.744 0.743 0.245
Li9 0.804 0.180 0.500
Li10 0.889 0.574 0.746
Fe1 0.110 0.125 0.373
Fe2 0.204 0.554 0.623
Fe3 0.278 0.959 0.873
Fe4 0.358 0.378 0.123
Fe5 0.442 0.796 0.373
Fe6 0.609 0.628 0.873
Fe7 0.694 0.042 0.123
Fe8 0.777 0.461 0.373
Fe9 0.856 0.882 0.623
Fe10 0.939 0.298 0.873
O1 0.061 0.096 0.176
O2 0.092 0.786 0.316
O3 0.106 0.479 0.426
O4 0.119 0.163 0.567
O5 0.158 0.878 0.678
O6 0.251 0.614 0.820
O7 0.294 0.289 0.927
O8 0.358 0.072 0.068
O9 0.419 0.746 0.175
O10 0.446 0.442 0.320
O11 0.461 0.135 0.430
O12 0.507 0.847 0.571
O13 0.543 0.583 0.673
O14 0.590 0.291 0.815
O15 0.624 0.986 0.926
O16 0.640 0.678 0.070
O17 0.666 0.378 0.177
O18 0.748 0.105 0.318
O19 0.805 0.815 0.427
O20 0.882 0.559 0.569
O21 0.919 0.243 0.676
O22 0.947 0.646 0.930
O23 0.947 0.944 0.818
O24 0.990 0.319 0.071

[8]
Structure and simulated powder X-ray diffraction pattern of LiFe3O4 (a structure optimized by DFT (PBE+U); Cu Kα).

Principal peaks in the range 10° ≤ 2θ ≤ 90°, low angle first:
2θ (°), intensity
17.9, 44
21.2, 15
34.6, 16
36.4, 68
41.9, 100
43.1, 46
60.6, 14
60.7, 14
61.6, 54
72.9, 19

abc: 5.194 5.194 3.050
angles: 90.00 90.00 107.93
Atoms (fractional coordinates):
Li1 0.000 0.000 0.000
Fe1 0.000 0.500 0.500
Fe2 0.500 0.000 0.500
Fe3 0.500 0.500 0.000
O1 0.244 0.756 0.000
O2 0.254 0.254 0.500
O3 0.746 0.746 0.500
O4 0.756 0.244 0.000